Calculated powder XRD pattern of GaF3 for Cu Kα (λ = 1.5418 Å), from a cell relaxed with PBE.
Neutral-atom scattering factors, no anomalous dispersion.

Structure:
a = 5.309 Å, b = 5.309 Å, c = 5.309 Å
α = 57.28°, β = 57.28°, γ = 57.28°
Fractional coordinates of all 8 atoms:
1 Ga 0.000 0.000 0.000
2 Ga 0.500 0.500 0.500
3 F 0.141 0.750 0.359
4 F 0.250 0.641 0.859
5 F 0.359 0.141 0.750
6 F 0.641 0.859 0.250
7 F 0.750 0.359 0.141
8 F 0.859 0.250 0.641

Largest 8 diffraction maxima, low angle first, 15 to 90 degrees two-theta:
d = 3.671 Å, 24.24 deg, intensity 100; d = 2.650 Å, 33.82 deg, intensity 23; d = 2.545 Å, 35.27 deg, intensity 11; d = 2.206 Å, 40.92 deg, intensity 13; d = 1.836 Å, 49.67 deg, intensity 19; d = 1.669 Å, 55.02 deg, intensity 26; d = 1.616 Å, 56.99 deg, intensity 14; d = 1.469 Å, 63.30 deg, intensity 10